# 1
Sc4PSe2: calculated PXRD pattern (a wavelength of 1.5418 Å), based on a GGA-PBE-relaxed structure.

Principal peaks in the range 2θ from 10° to 90°, low angle first:
- 2θ 14.17, intensity 354
- 2θ 25.02, intensity 356
- 2θ 25.76, intensity 632
- 2θ 32.07, intensity 640
- 2θ 32.39, intensity 777
- 2θ 33.19, intensity 797
- 2θ 35.52, intensity 1000
- 2θ 44.28, intensity 683
- 2θ 49.06, intensity 462
- 2θ 49.23, intensity 888

Unit cell a=6.4772 b=6.4772 c=12.4985 alpha=90.00 beta=90.00 gamma=146.67
Fractional coordinates of all 14 atoms:
Sc1 0.0000 0.0000 0.0000
Sc2 0.0000 0.0000 0.5000
Sc3 0.2854 0.7146 0.6287
Sc4 0.2854 0.7146 0.8713
Sc5 0.4581 0.5419 0.2500
Sc6 0.5419 0.4581 0.7500
Sc7 0.7146 0.2854 0.1287
Sc8 0.7146 0.2854 0.3713
P1 0.1047 0.8953 0.2500
P2 0.8953 0.1047 0.7500
Se1 0.3601 0.6399 0.0667
Se2 0.3601 0.6399 0.4333
Se3 0.6399 0.3601 0.5667
Se4 0.6399 0.3601 0.9333


# 2
CsPrOs2O8: calculated PXRD pattern (a wavelength of 1.5418 Å), based on a GGA-PBE-relaxed structure.

Principal peaks in the range 2θ from 10° to 90°, low angle first:
- 2θ 19.57, intensity 1000
- 2θ 26.60, intensity 692
- 2θ 28.98, intensity 604
- 2θ 35.21, intensity 114
- 2θ 35.50, intensity 157
- 2θ 39.74, intensity 283
- 2θ 46.23, intensity 201
- 2θ 49.93, intensity 243
- 2θ 51.37, intensity 124
- 2θ 51.80, intensity 257

Unit cell a=6.1614 b=6.1614 c=8.6141 alpha=90.00 beta=90.00 gamma=120.00
Fractional coordinates of all 12 atoms:
Cs1 0.0000 0.0000 0.0000
Pr1 0.0000 0.0000 0.5000
Os1 0.3333 0.6667 0.7464
Os2 0.6667 0.3333 0.2536
O1 0.1702 0.3475 0.6718
O2 0.1773 0.8298 0.6718
O3 0.3333 0.6667 0.9518
O4 0.3475 0.1773 0.3282
O5 0.6525 0.8227 0.6718
O6 0.6667 0.3333 0.0482
O7 0.8227 0.1702 0.3282
O8 0.8298 0.6525 0.3282


# 3
Er5Sn2Pd12: calculated PXRD pattern (a wavelength of 1.5418 Å), based on a GGA-PBE-relaxed structure.

Principal peaks in the range 2θ from 10° to 90°, low angle first:
- 2θ 33.73, intensity 354
- 2θ 35.96, intensity 407
- 2θ 36.22, intensity 144
- 2θ 36.77, intensity 1000
- 2θ 38.70, intensity 509
- 2θ 40.07, intensity 182
- 2θ 41.21, intensity 167
- 2θ 46.63, intensity 153
- 2θ 50.18, intensity 189
- 2θ 69.24, intensity 182

Unit cell a=8.2264 b=8.2264 c=6.7918 alpha=92.39 beta=92.39 gamma=52.46
Fractional coordinates of all 19 atoms:
Er1 0.0000 0.0000 0.0000
Er2 0.2454 0.2454 0.9337
Er3 0.3102 0.3102 0.4526
Er4 0.6898 0.6898 0.5474
Er5 0.7546 0.7546 0.0663
Sn1 0.2602 0.7398 0.5000
Sn2 0.7398 0.2602 0.5000
Pd1 0.0317 0.6533 0.7518
Pd2 0.1271 0.1271 0.5984
Pd3 0.1911 0.5920 0.1434
Pd4 0.3467 0.9683 0.2482
Pd5 0.4080 0.8089 0.8566
Pd6 0.4445 0.4445 0.8034
Pd7 0.5555 0.5555 0.1966
Pd8 0.5920 0.1911 0.1434
Pd9 0.6533 0.0317 0.7518
Pd10 0.8089 0.4080 0.8566
Pd11 0.8729 0.8729 0.4016
Pd12 0.9683 0.3467 0.2482


# 4
MnTe2Pd: calculated PXRD pattern (a wavelength of 1.5418 Å), based on a GGA-PBE-relaxed structure.

Principal peaks in the range 2θ from 10° to 90°, low angle first:
- 2θ 11.87, intensity 1000
- 2θ 25.00, intensity 549
- 2θ 27.81, intensity 725
- 2θ 28.58, intensity 680
- 2θ 34.44, intensity 702
- 2θ 35.91, intensity 420
- 2θ 37.56, intensity 621
- 2θ 38.33, intensity 623
- 2θ 43.40, intensity 531
- 2θ 43.76, intensity 508

Unit cell a=8.3527 b=6.2473 c=8.3779 alpha=90.00 beta=116.78 gamma=90.00
Fractional coordinates of all 16 atoms:
Mn1 0.0402 0.0324 0.3152
Mn2 0.0402 0.4676 0.8152
Mn3 0.9598 0.5324 0.1848
Mn4 0.9598 0.9676 0.6848
Te1 0.2160 0.2287 0.6578
Te2 0.2160 0.2713 0.1578
Te3 0.3254 0.7352 0.9026
Te4 0.3254 0.7648 0.4026
Te5 0.6746 0.2352 0.5974
Te6 0.6746 0.2648 0.0974
Te7 0.7840 0.7287 0.8422
Te8 0.7840 0.7713 0.3422
Pd1 0.1249 0.6638 0.5593
Pd2 0.1249 0.8362 0.0593
Pd3 0.8751 0.1638 0.9407
Pd4 0.8751 0.3362 0.4407


# 5
TbZrSc4: calculated PXRD pattern (a wavelength of 1.5418 Å), based on a GGA-PBE-relaxed structure.

Principal peaks in the range 2θ from 10° to 90°, low angle first:
- 2θ 19.84, intensity 398
- 2θ 20.28, intensity 160
- 2θ 30.92, intensity 264
- 2θ 34.46, intensity 364
- 2θ 35.25, intensity 511
- 2θ 35.51, intensity 1000
- 2θ 46.97, intensity 159
- 2θ 54.62, intensity 175
- 2θ 62.42, intensity 180
- 2θ 66.21, intensity 191

Unit cell a=5.2050 b=3.3294 c=17.5160 alpha=90.00 beta=90.00 gamma=90.00
Fractional coordinates of all 12 atoms:
Tb1 0.0000 0.0000 0.0000
Tb2 0.0000 0.5000 0.5000
Zr1 0.5000 0.0000 0.7777
Zr2 0.5000 0.5000 0.2777
Sc1 0.0000 0.0000 0.3287
Sc2 0.0000 0.0000 0.6706
Sc3 0.0000 0.5000 0.1706
Sc4 0.0000 0.5000 0.8287
Sc5 0.5000 0.0000 0.1171
Sc6 0.5000 0.0000 0.4361
Sc7 0.5000 0.5000 0.6171
Sc8 0.5000 0.5000 0.9361


# 6
Ta2Nb3Al2: calculated PXRD pattern (a wavelength of 1.5418 Å), based on a GGA-PBE-relaxed structure.

Principal peaks in the range 2θ from 10° to 90°, low angle first:
- 2θ 15.57, intensity 502
- 2θ 22.08, intensity 170
- 2θ 35.25, intensity 1000
- 2θ 41.99, intensity 919
- 2θ 50.71, intensity 125
- 2θ 55.95, intensity 167
- 2θ 58.45, intensity 185
- 2θ 72.36, intensity 256
- 2θ 76.72, intensity 131
- 2θ 89.45, intensity 115

Unit cell a=6.9721 b=6.9721 c=6.9721 alpha=109.47 beta=109.47 gamma=109.47
Fractional coordinates of all 14 atoms:
Ta1 0.0000 0.1636 0.5000
Ta2 0.1636 0.5000 0.0000
Ta3 0.3364 0.3364 0.3364
Ta4 0.5000 0.0000 0.1636
Nb1 0.1249 0.8749 0.2500
Nb2 0.2500 0.1249 0.8749
Nb3 0.3751 0.6251 0.7500
Nb4 0.6251 0.7500 0.3751
Nb5 0.7500 0.3751 0.6251
Nb6 0.8749 0.2500 0.1249
Al1 0.0000 0.6673 0.5000
Al2 0.5000 0.0000 0.6673
Al3 0.6673 0.5000 0.0000
Al4 0.8327 0.8327 0.8327


# 7
Cr2Ni21P6: calculated PXRD pattern (a wavelength of 1.5418 Å), based on a GGA-PBE-relaxed structure.

Principal peaks in the range 2θ from 10° to 90°, low angle first:
- 2θ 36.44, intensity 130
- 2θ 40.06, intensity 181
- 2θ 42.60, intensity 1000
- 2θ 46.59, intensity 331
- 2θ 48.86, intensity 299
- 2θ 49.60, intensity 156
- 2θ 55.26, intensity 132
- 2θ 72.77, intensity 184
- 2θ 74.52, intensity 120
- 2θ 86.47, intensity 188

Unit cell a=7.7972 b=7.7972 c=7.7972 alpha=60.00 beta=60.00 gamma=60.00
Fractional coordinates of all 29 atoms:
Cr1 0.2500 0.2500 0.2500
Cr2 0.7500 0.7500 0.7500
Ni1 0.0000 0.0000 0.0000
Ni2 0.0000 0.0000 0.3481
Ni3 0.0000 0.0000 0.6519
Ni4 0.0000 0.3481 0.0000
Ni5 0.0000 0.3481 0.6519
Ni6 0.0000 0.6519 0.0000
Ni7 0.0000 0.6519 0.3481
Ni8 0.1459 0.6180 0.6180
Ni9 0.3481 0.0000 0.0000
Ni10 0.3481 0.0000 0.6519
Ni11 0.3481 0.6519 0.0000
Ni12 0.3820 0.3820 0.3820
Ni13 0.3820 0.3820 0.8541
Ni14 0.3820 0.8541 0.3820
Ni15 0.6180 0.1459 0.6180
Ni16 0.6180 0.6180 0.1459
Ni17 0.6180 0.6180 0.6180
Ni18 0.6519 0.0000 0.0000
Ni19 0.6519 0.0000 0.3481
Ni20 0.6519 0.3481 0.0000
Ni21 0.8541 0.3820 0.3820
P1 0.2638 0.2638 0.7362
P2 0.2638 0.7362 0.2638
P3 0.2638 0.7362 0.7362
P4 0.7362 0.2638 0.2638
P5 0.7362 0.2638 0.7362
P6 0.7362 0.7362 0.2638


# 8
Lu2Be2SiO7: calculated PXRD pattern (a wavelength of 1.5418 Å), based on a GGA-PBE-relaxed structure.

Principal peaks in the range 2θ from 10° to 90°, low angle first:
- 2θ 18.77, intensity 573
- 2θ 25.67, intensity 257
- 2θ 27.60, intensity 543
- 2θ 31.15, intensity 252
- 2θ 33.59, intensity 1000
- 2θ 39.42, intensity 171
- 2θ 44.00, intensity 193
- 2θ 47.66, intensity 416
- 2θ 55.95, intensity 317
- 2θ 57.50, intensity 190

Unit cell a=7.2279 b=7.2279 c=4.7276 alpha=90.00 beta=90.00 gamma=90.00
Fractional coordinates of all 24 atoms:
Lu1 0.1576 0.3424 0.0104
Lu2 0.3424 0.8424 0.9896
Lu3 0.6576 0.1576 0.9896
Lu4 0.8424 0.6576 0.0104
Be1 0.1378 0.6378 0.5432
Be2 0.3622 0.1378 0.4568
Be3 0.6378 0.8622 0.4568
Be4 0.8622 0.3622 0.5432
Si1 0.0000 0.0000 0.5000
Si2 0.5000 0.5000 0.5000
O1 0.0000 0.5000 0.6901
O2 0.0852 0.8386 0.7056
O3 0.1417 0.6417 0.2069
O4 0.1614 0.0852 0.2944
O5 0.3386 0.5852 0.7056
O6 0.3583 0.1417 0.7931
O7 0.4148 0.3386 0.2944
O8 0.5000 0.0000 0.3099
O9 0.5852 0.6614 0.2944
O10 0.6417 0.8583 0.7931
O11 0.6614 0.4148 0.7056
O12 0.8386 0.9148 0.2944
O13 0.8583 0.3583 0.2069
O14 0.9148 0.1614 0.7056